Computed XRD peak list of YTmTh2 for CuKα, from a structure optimized by DFT (GGA-PBE).
Peak positions follow from Bragg's law for the DFT cell and can differ from measured ones.

Crystal structure
abc: 5.049 5.040 10.046
angles: 90.00 90.00 90.00
Space group Pmma (No. 51)
One atom of each set of equivalent atoms:
Y1 0.250 0.000 0.128 (multiplicity 2)
Tm1 0.250 0.500 0.872 (multiplicity 2)
Th1 0.250 0.000 0.624 (multiplicity 2)
Th2 0.250 0.500 0.377 (multiplicity 2)

Peak list (10 most intense, 5° ≤ 2θ ≤ 70°, low angle first)
two_theta  I/Imax
8.80  15
26.52  5
30.74  100
35.59  34
35.75  17
51.27  24
51.36  12
60.93  29
61.15  14
64.03  13

Computed XRD peak list of Y7Tm2Th2 for CuKα, from a structure optimized by DFT (GGA-PBE).
Peak positions follow from Bragg's law for the DFT cell and can differ from measured ones.

Crystal structure
abc: 5.586 6.911 9.451
angles: 90.00 90.00 90.00
Space group Pmmm (No. 47)
One atom of each set of equivalent atoms:
Y1 0.000 0.000 0.000 (multiplicity 1)
Y2 0.000 0.500 0.170 (multiplicity 2)
Y3 0.500 0.000 0.310 (multiplicity 2)
Y4 0.500 0.500 0.341 (multiplicity 2)
Tm1 0.000 0.254 0.500 (multiplicity 2)
Th1 0.500 0.274 0.000 (multiplicity 2)

Peak list (10 most intense, 5° ≤ 2θ ≤ 70°, low angle first)
two_theta  I/Imax
18.45  28
18.78  23
31.89  100
32.07  79
32.63  57
45.98  29
57.02  19
57.49  11
58.02  21
63.64  14

Computed XRD peak list of YTm2Th2 for CuKα, from a structure optimized by DFT (GGA-PBE).
Peak positions follow from Bragg's law for the DFT cell and can differ from measured ones.

Crystal structure
abc: 14.527 7.086 6.167
angles: 90.00 98.27 90.00
Space group P2_1/c (No. 14)
One atom of each set of equivalent atoms:
Y1 0.198 0.126 0.150 (multiplicity 4)
Tm1 0.197 0.624 0.149 (multiplicity 4)
Tm2 0.402 0.625 0.549 (multiplicity 4)
Th1 0.001 0.624 0.750 (multiplicity 4)
Th2 0.403 0.128 0.552 (multiplicity 4)

Peak list (10 most intense, 5° ≤ 2θ ≤ 70°, low angle first)
two_theta  I/Imax
30.86  100
31.11  33
35.76  23
35.91  45
51.39  16
51.78  24
61.24  10
61.34  19
61.50  14
61.70  9

Computed XRD peak list of Y2Tm6Th for CuKα, from a structure optimized by DFT (GGA-PBE).
Peak positions follow from Bragg's law for the DFT cell and can differ from measured ones.

Crystal structure
abc: 3.5563 3.5563 25.8874
angles: 90.00 90.00 120.00
Space group P-6m2 (No. 187)
One atom of each set of equivalent atoms:
Y1 0.0000 0.0000 0.1722 (multiplicity 2)
Tm1 0.0000 0.0000 0.3891 (multiplicity 2)
Tm2 0.6667 0.3333 0.0643 (multiplicity 2)
Tm3 0.6667 0.3333 0.2820 (multiplicity 2)
Th1 0.6667 0.3333 0.5000 (multiplicity 1)

Peak list (10 most intense, 5° ≤ 2θ ≤ 70°, low angle first)
two_theta  I/Imax
28.99  51
31.09  43
32.19  65
33.87  100
43.03  32
51.39  34
58.19  30
61.29  37
61.94  10
62.97  17

Computed XRD peak list of Y2TmTh3 for CuKα, from a structure optimized by DFT (GGA-PBE).
Peak positions follow from Bragg's law for the DFT cell and can differ from measured ones.

Crystal structure
abc: 10.216 11.313 6.712
angles: 90.00 90.00 90.00
Space group Cmcm (No. 63)
One atom of each set of equivalent atoms:
Y1 0.167 0.231 0.250 (multiplicity 8)
Tm1 0.000 0.272 0.750 (multiplicity 4)
Th1 0.000 0.000 0.000 (multiplicity 4)
Th2 0.166 0.500 0.000 (multiplicity 8)

Peak list (10 most intense, 5° ≤ 2θ ≤ 70°, low angle first)
two_theta  I/Imax
15.67  25
27.35  52
30.48  25
30.98  100
31.64  44
35.52  44
38.49  57
55.95  45
63.43  26
63.77  24

Computed XRD peak list of YTm10Th4 for CuKα, from a structure optimized by DFT (GGA-PBE).
Peak positions follow from Bragg's law for the DFT cell and can differ from measured ones.

Crystal structure
abc: 11.187 11.187 7.737
angles: 90.00 90.00 90.00
Space group I4/mmm (No. 139)
One atom of each set of equivalent atoms:
Y1 0.000 0.000 0.000 (multiplicity 2)
Tm1 0.000 0.209 0.293 (multiplicity 16)
Tm2 0.000 0.500 0.250 (multiplicity 4)
Th1 0.228 0.228 0.000 (multiplicity 8)

Peak list (10 most intense, 5° ≤ 2θ ≤ 70°, low angle first)
two_theta  I/Imax
25.17  27
28.04  80
31.05  47
32.00  100
32.37  100
34.35  27
41.44  39
45.89  24
54.28  27
68.30  27

Computed XRD peak list of Y2TmTh2 for CuKα, from a structure optimized by DFT (GGA-PBE).
Peak positions follow from Bragg's law for the DFT cell and can differ from measured ones.

Crystal structure
abc: 8.635 9.436 8.688
angles: 90.00 108.43 90.00
Space group C2/c (No. 15)
One atom of each set of equivalent atoms:
Y1 0.156 0.095 0.131 (multiplicity 8)
Tm1 0.000 0.206 0.750 (multiplicity 4)
Th1 0.000 0.500 0.000 (multiplicity 4)
Th2 0.250 0.250 0.500 (multiplicity 4)

Peak list (10 most intense, 5° ≤ 2θ ≤ 70°, low angle first)
two_theta  I/Imax
19.90  59
28.76  55
30.44  36
31.76  100
32.34  53
32.52  49
33.54  53
40.43  35
44.23  27
59.78  24

Computed XRD peak list of Y5Tm2Th3 for CuKα, from a structure optimized by DFT (GGA-PBE).
Peak positions follow from Bragg's law for the DFT cell and can differ from measured ones.

Crystal structure
abc: 11.218 5.040 11.289
angles: 90.00 90.53 90.00
Space group C2/m (No. 12)
One atom of each set of equivalent atoms:
Y1 0.000 0.000 0.000 (multiplicity 2)
Y2 0.199 0.000 0.600 (multiplicity 4)
Y3 0.199 0.500 0.101 (multiplicity 4)
Tm1 0.098 0.500 0.797 (multiplicity 4)
Th1 0.000 0.500 0.500 (multiplicity 2)
Th2 0.098 0.000 0.299 (multiplicity 4)

Peak list (10 most intense, 5° ≤ 2θ ≤ 70°, low angle first)
two_theta  I/Imax
30.76  100
35.48  17
35.63  17
35.89  17
51.16  12
51.47  12
60.79  14
60.99  15
61.34  14
64.07  12